No. 1
Simulated X-ray diffraction stick pattern of Cu2S13 for Cu Ka, from a GGA-PBE-relaxed structure.
No peak broadening, texture or thermal motion is included.

The 10 most intense peaks (10 to 90 degrees two-theta), most intense first:
2θ = 12.5°, 7.080 Å, I 100
2θ = 18.5°, 4.795 Å, I 68
2θ = 29.0°, 3.078 Å, I 33
2θ = 28.5°, 3.130 Å, I 29
2θ = 11.1°, 7.978 Å, I 26
2θ = 15.9°, 5.561 Å, I 23
2θ = 16.2°, 5.467 Å, I 21
2θ = 31.2°, 2.867 Å, I 19
2θ = 30.7°, 2.908 Å, I 16
2θ = 14.5°, 6.118 Å, I 14

Structure:
Unit cell a=6.740 b=9.148 c=9.161 alpha=63.18 beta=69.69 gamma=68.48
Fractional positions:
Cu (0.146, 0.330, 0.372)
Cu (0.854, 0.670, 0.628)
S (0.000, 0.500, 0.500)
S (0.006, 0.690, 0.803)
S (0.150, 0.119, 0.133)
S (0.173, 0.052, 0.610)
S (0.298, 0.861, 0.545)
S (0.423, 0.882, 0.866)
S (0.482, 0.310, 0.197)
S (0.518, 0.690, 0.803)
S (0.577, 0.118, 0.134)
S (0.702, 0.139, 0.455)
S (0.827, 0.948, 0.390)
S (0.850, 0.881, 0.867)
S (0.994, 0.310, 0.197)

No. 2
Simulated X-ray diffraction stick pattern of Pr6C2N for Cu Ka, from a GGA-PBE-relaxed structure.
No peak broadening, texture or thermal motion is included.

The 10 most intense peaks (10 to 90 degrees two-theta), most intense first:
2θ = 29.1°, 3.069 Å, I 100
2θ = 33.5°, 2.677 Å, I 80
2θ = 26.8°, 3.325 Å, I 51
2θ = 29.6°, 3.019 Å, I 50
2θ = 32.7°, 2.737 Å, I 39
2θ = 13.3°, 6.649 Å, I 28
2θ = 49.3°, 1.850 Å, I 28
2θ = 45.7°, 1.985 Å, I 23
2θ = 58.0°, 1.590 Å, I 17
2θ = 58.4°, 1.579 Å, I 15

Structure:
Unit cell a=8.866 b=8.866 c=7.784 alpha=108.33 beta=108.33 gamma=24.13
Fractional positions:
Pr (0.009, 0.009, 0.231)
Pr (0.324, 0.324, 0.431)
Pr (0.346, 0.346, 0.904)
Pr (0.654, 0.654, 0.096)
Pr (0.676, 0.676, 0.569)
Pr (0.991, 0.991, 0.769)
C (0.165, 0.165, 0.330)
C (0.835, 0.835, 0.670)
N (0.500, 0.500, 0.000)

No. 3
Simulated X-ray diffraction stick pattern of HoSiSb for Cu Ka, from a GGA-PBE-relaxed structure.
No peak broadening, texture or thermal motion is included.

The 10 most intense peaks (10 to 90 degrees two-theta), most intense first:
2θ = 30.4°, 2.937 Å, I 100
2θ = 34.1°, 2.626 Å, I 37
2θ = 27.4°, 3.258 Å, I 24
2θ = 40.6°, 2.220 Å, I 22
2θ = 54.1°, 1.696 Å, I 21
2θ = 35.0°, 2.563 Å, I 20
2θ = 51.6°, 1.771 Å, I 18
2θ = 21.4°, 4.153 Å, I 15
2θ = 47.1°, 1.931 Å, I 14
2θ = 63.3°, 1.469 Å, I 14

Structure:
Unit cell a=6.783 b=6.783 c=11.744 alpha=90.00 beta=90.00 gamma=120.00
Fractional positions:
Ho (0.000, 0.500, 0.398)
Ho (0.000, 0.500, 0.936)
Ho (0.500, 0.000, 0.269)
Ho (0.500, 0.000, 0.731)
Ho (0.500, 0.500, 0.064)
Ho (0.500, 0.500, 0.602)
Si (0.190, 0.595, 0.167)
Si (0.405, 0.595, 0.833)
Si (0.405, 0.810, 0.500)
Si (0.595, 0.190, 0.500)
Si (0.595, 0.405, 0.833)
Si (0.810, 0.405, 0.167)
Sb (0.000, 0.000, 0.167)
Sb (0.000, 0.000, 0.500)
Sb (0.000, 0.000, 0.833)
Sb (0.000, 0.500, 0.667)
Sb (0.500, 0.000, 0.000)
Sb (0.500, 0.500, 0.333)

No. 4
Simulated X-ray diffraction stick pattern of ErTa2BC4 for Cu Ka, from a GGA-PBE-relaxed structure.
No peak broadening, texture or thermal motion is included.

The 10 most intense peaks (10 to 90 degrees two-theta), most intense first:
2θ = 34.2°, 2.619 Å, I 100
2θ = 30.6°, 2.925 Å, I 97
2θ = 33.6°, 2.666 Å, I 44
2θ = 42.0°, 2.150 Å, I 41
2θ = 39.2°, 2.300 Å, I 35
2θ = 53.1°, 1.724 Å, I 33
2θ = 58.6°, 1.576 Å, I 29
2θ = 30.8°, 2.903 Å, I 27
2θ = 58.9°, 1.568 Å, I 24
2θ = 38.2°, 2.357 Å, I 23

Structure:
Unit cell a=5.560 b=5.560 c=10.494 alpha=90.00 beta=90.00 gamma=147.10
Fractional positions:
Er (0.096, 0.904, 0.750)
Er (0.904, 0.096, 0.250)
Ta (0.366, 0.634, 0.549)
Ta (0.366, 0.634, 0.951)
Ta (0.634, 0.366, 0.049)
Ta (0.634, 0.366, 0.451)
B (0.171, 0.829, 0.250)
B (0.829, 0.171, 0.750)
C (0.000, 0.000, 0.000)
C (0.000, 0.000, 0.500)
C (0.265, 0.735, 0.126)
C (0.265, 0.735, 0.374)
C (0.420, 0.580, 0.750)
C (0.580, 0.420, 0.250)
C (0.735, 0.265, 0.626)
C (0.735, 0.265, 0.874)

No. 5
Simulated X-ray diffraction stick pattern of ReSiPt for Cu Ka, from a GGA-PBE-relaxed structure.
No peak broadening, texture or thermal motion is included.

The 8 most intense peaks (10 to 90 degrees two-theta), most intense first:
2θ = 44.7°, 2.028 Å, I 100
2θ = 31.2°, 2.868 Å, I 98
2θ = 82.4°, 1.171 Å, I 35
2θ = 73.9°, 1.283 Å, I 34
2θ = 55.5°, 1.656 Å, I 26
2θ = 65.0°, 1.434 Å, I 17
2θ = 26.9°, 3.312 Å, I 1
2θ = 52.9°, 1.730 Å, I 1

Structure:
Unit cell a=5.736 b=5.736 c=5.736 alpha=90.00 beta=90.00 gamma=90.00
Fractional positions:
Re (0.000, 0.000, 0.000)
Re (0.000, 0.500, 0.500)
Re (0.500, 0.000, 0.500)
Re (0.500, 0.500, 0.000)
Si (0.250, 0.250, 0.250)
Si (0.250, 0.750, 0.750)
Si (0.750, 0.250, 0.750)
Si (0.750, 0.750, 0.250)
Pt (0.000, 0.000, 0.500)
Pt (0.000, 0.500, 0.000)
Pt (0.500, 0.000, 0.000)
Pt (0.500, 0.500, 0.500)